# Tb2Y5Ho12
Computed powder diffraction line list, Cu Kα. Input: a GGA-PBE-relaxed structure.
No peak broadening, texture or thermal motion is included.

Atomic structure:
```
data_Tb2Y5Ho12
_cell_length_a 6.2600
_cell_length_b 9.0189
_cell_length_c 10.8260
_cell_angle_alpha 87.32
_cell_angle_beta 82.35
_cell_angle_gamma 88.18
_symmetry_space_group_name_H-M 'P 1'
_symmetry_Int_Tables_number 1
_symmetry_space_group_name_Hall 'P 1'
loop_
_atom_site_label
_atom_site_fract_x
_atom_site_fract_y
_atom_site_fract_z
Tb1 0.0460 0.0056 0.1561
Tb2 0.9540 0.9944 0.8439
Y1 0.2249 0.9384 0.5555
Y2 0.3749 0.5126 0.1559
Y3 0.5000 0.5000 0.5000
Y4 0.6251 0.4874 0.8441
Y5 0.7751 0.0616 0.4445
Ho1 0.0011 0.6764 0.3876
Ho2 0.0996 0.3269 0.9433
Ho3 0.1463 0.6423 0.7502
Ho4 0.3206 0.2017 0.3423
Ho5 0.4253 0.8339 0.9510
Ho6 0.4840 0.1599 0.7297
Ho7 0.5160 0.8401 0.2703
Ho8 0.5747 0.1661 0.0490
Ho9 0.6794 0.7983 0.6577
Ho10 0.8537 0.3577 0.2498
Ho11 0.9004 0.6731 0.0567
Ho12 0.9989 0.3236 0.6124
```

Principal peaks in the range 5° ≤ 2θ ≤ 70°, sorted by position:
| d/Å | two_theta | I/Imax | index |
| --- | --- | --- | --- |
| 3.048 | 29.3 | 39 | 1 -2 2 |
| 3.038 | 29.4 | 19 | 1 -1 3 |
| 2.860 | 31.3 | 67 | 0 2 3 |
| 2.770 | 32.3 | 54 | 1 1 -3 |
| 2.756 | 32.5 | 52 | 2 1 2 |
| 2.731 | 32.8 | 100 | 1 3 0 |